Record 1
The following is a calculated powder XRD pattern of Pm4Si3Pb. It was derived from a crystal structure in Alexandria, relaxed with PBE, using copper Kα.
Kinematic intensities with the Lorentz-polarization factor, no thermal factor.

Top 10 peaks for 2θ from 5° to 70°, sorted by position:
two_theta, I/Imax
7.9, 28
27.2, 22
30.7, 100
31.2, 42
32.1, 26
38.4, 46
39.2, 16
40.0, 25
44.6, 19
55.4, 16

Cell lengths 4.0620, 4.5067, 11.1534 Å; angles 90.00, 90.00, 90.00 degrees
Fractional positions:
Pm: 0.0000 0.0000 0.0000
Pm: 0.0000 0.5000 0.4809
Pm: 0.5000 0.0000 0.7022
Pm: 0.5000 0.5000 0.2167
Si: 0.0000 0.0000 0.2787
Si: 0.5000 0.0000 0.4242
Si: 0.5000 0.5000 0.9485
Pb: 0.0000 0.5000 0.7738

---

Record 2
The following is a calculated powder XRD pattern of LiNdHo2S4. It was derived from a crystal structure in Alexandria, relaxed with PBE, using copper Kα.
Kinematic intensities with the Lorentz-polarization factor, no thermal factor.

Top 10 peaks for 2θ from 5° to 70°, sorted by position:
two_theta, I/Imax
13.8, 34
26.6, 13
27.7, 30
27.9, 30
32.2, 100
46.2, 24
46.3, 24
54.7, 13
54.9, 13
57.6, 12

Cell lengths 6.8012, 3.9120, 6.8206 Å; angles 90.00, 109.25, 90.00 degrees
Fractional positions:
Li: 0.0000 0.0000 0.0000
Nd: 0.5000 0.5000 0.0000
Ho: 0.0000 0.5000 0.5000
Ho: 0.5000 0.0000 0.5000
S: 0.2376 0.0000 0.7417
S: 0.2447 0.5000 0.2550
S: 0.7553 0.5000 0.7450
S: 0.7624 0.0000 0.2583

---

Record 3
The following is a calculated powder XRD pattern of Y4ReHg. It was derived from a crystal structure in Alexandria, relaxed with PBE, using copper Kα.
Kinematic intensities with the Lorentz-polarization factor, no thermal factor.

Top 9 peaks for 2θ from 5° to 70°, sorted by position:
two_theta, I/Imax
18.1, 6
29.8, 55
35.1, 100
36.7, 19
46.7, 2
52.9, 23
56.4, 34
62.0, 26
65.1, 2

Cell lengths 5.9909, 5.9909, 5.9909 Å; angles 60.00, 60.00, 60.00 degrees
Fractional positions:
Y: 0.3766 0.3766 0.3766
Y: 0.3766 0.3766 0.8702
Y: 0.3766 0.8702 0.3766
Y: 0.8702 0.3766 0.3766
Re: 0.7500 0.7500 0.7500
Hg: 0.0000 0.0000 0.0000

---

Record 4
The following is a calculated powder XRD pattern of MnBeAg4. It was derived from a crystal structure in Alexandria, relaxed with PBE, using copper Kα.
Kinematic intensities with the Lorentz-polarization factor, no thermal factor.

Top 10 peaks for 2θ from 5° to 70°, sorted by position:
two_theta, I/Imax
20.2, 85
23.4, 3
33.3, 4
39.3, 100
41.1, 81
47.8, 29
52.5, 19
59.6, 1
63.6, 30
70.0, 30

Cell lengths 5.3770, 5.3770, 5.3770 Å; angles 60.00, 60.00, 60.00 degrees
Fractional positions:
Mn: 0.0000 0.0000 0.0000
Be: 0.2500 0.2500 0.2500
Ag: 0.1253 0.6249 0.6249
Ag: 0.6249 0.1253 0.6249
Ag: 0.6249 0.6249 0.1253
Ag: 0.6249 0.6249 0.6249

---

Record 5
The following is a calculated powder XRD pattern of V2MoSe4S2. It was derived from a crystal structure in Alexandria, relaxed with PBE, using copper Kα.
Kinematic intensities with the Lorentz-polarization factor, no thermal factor.

Top 10 peaks for 2θ from 5° to 70°, sorted by position:
two_theta, I/Imax
12.5, 100
31.5, 42
31.8, 19
34.0, 17
35.9, 18
38.1, 62
40.7, 11
43.7, 27
46.9, 42
56.1, 30

Cell lengths 3.2809, 3.2809, 21.2035 Å; angles 90.00, 90.00, 120.00 degrees
Fractional positions:
V: 0.0000 0.0000 0.0000
V: 0.3333 0.6667 0.3291
Mo: 0.3333 0.6667 0.6764
Se: 0.0000 0.0000 0.2529
Se: 0.0000 0.0000 0.4054
Se: 0.3333 0.6667 0.0762
Se: 0.3333 0.6667 0.9237
S: 0.0000 0.0000 0.6040
S: 0.0000 0.0000 0.7489

---

Record 6
The following is a calculated powder XRD pattern of SmDy5Sc5. It was derived from a crystal structure in Alexandria, relaxed with PBE, using copper Kα.
Kinematic intensities with the Lorentz-polarization factor, no thermal factor.

Top 10 peaks for 2θ from 5° to 70°, sorted by position:
two_theta, I/Imax
7.8, 21
29.6, 100
30.9, 85
31.9, 22
36.4, 16
39.2, 17
43.3, 24
54.1, 37
54.9, 17
58.3, 19

Cell lengths 5.7890, 5.7890, 11.3381 Å; angles 90.00, 90.00, 120.00 degrees
Fractional positions:
Sm: 0.0000 0.0000 0.0000
Dy: 0.0000 0.0000 0.3218
Dy: 0.0000 0.0000 0.6782
Dy: 0.3333 0.6667 0.1608
Dy: 0.3333 0.6667 0.8392
Dy: 0.6667 0.3333 0.0000
Sc: 0.5023 0.0046 0.5000
Sc: 0.5023 0.4977 0.5000
Sc: 0.6667 0.3333 0.2694
Sc: 0.6667 0.3333 0.7306
Sc: 0.9954 0.4977 0.5000

---

Record 7
The following is a calculated powder XRD pattern of Nd4Te3N2. It was derived from a crystal structure in Alexandria, relaxed with PBE, using copper Kα.
Kinematic intensities with the Lorentz-polarization factor, no thermal factor.

Top 10 peaks for 2θ from 5° to 70°, sorted by position:
two_theta, I/Imax
24.8, 38
26.8, 42
27.4, 46
29.5, 76
30.1, 100
33.7, 32
34.9, 28
37.9, 21
40.2, 24
46.2, 19

Cell lengths 7.4325, 11.7975, 11.4221 Å; angles 90.00, 90.00, 90.00 degrees
Fractional positions:
Nd: 0.0933 0.2500 0.1583
Nd: 0.1454 0.0486 0.8899
Nd: 0.1454 0.4514 0.8899
Nd: 0.2330 0.2500 0.5316
Nd: 0.2670 0.7500 0.0316
Nd: 0.3546 0.5486 0.3899
Nd: 0.3546 0.9514 0.3899
Nd: 0.4067 0.7500 0.6583
Nd: 0.5933 0.2500 0.3417
Nd: 0.6454 0.0486 0.6101
Nd: 0.6454 0.4514 0.6101
Nd: 0.7330 0.2500 0.9684
Nd: 0.7670 0.7500 0.4684
Nd: 0.8546 0.5486 0.1101
Nd: 0.8546 0.9514 0.1101
Nd: 0.9067 0.7500 0.8417
Te: 0.0630 0.5797 0.6357
Te: 0.0630 0.9203 0.6357
Te: 0.0821 0.7500 0.2756
Te: 0.4179 0.2500 0.7756
Te: 0.4370 0.0797 0.1357
Te: 0.4370 0.4203 0.1357
Te: 0.5630 0.5797 0.8643
Te: 0.5630 0.9203 0.8643
Te: 0.5821 0.7500 0.2244
Te: 0.9179 0.2500 0.7244
Te: 0.9370 0.0797 0.3643
Te: 0.9370 0.4203 0.3643
N: 0.0510 0.6220 0.9677
N: 0.0510 0.8780 0.9677
N: 0.4490 0.1220 0.4677
N: 0.4490 0.3780 0.4677
N: 0.5510 0.6220 0.5323
N: 0.5510 0.8780 0.5323
N: 0.9490 0.1220 0.0323
N: 0.9490 0.3780 0.0323

---

Record 8
The following is a calculated powder XRD pattern of Sm3InSn. It was derived from a crystal structure in Alexandria, relaxed with PBE, using copper Kα.
Kinematic intensities with the Lorentz-polarization factor, no thermal factor.

Top 10 peaks for 2θ from 5° to 70°, sorted by position:
two_theta, I/Imax
29.8, 14
30.8, 31
31.2, 49
31.7, 100
32.0, 15
32.3, 42
32.5, 36
33.7, 38
36.1, 28
56.9, 16

Cell lengths 8.7586, 8.7586, 11.3307 Å; angles 100.69, 100.69, 43.87 degrees
Fractional positions:
Sm: 0.1596 0.5485 0.0406
Sm: 0.1637 0.7252 0.5233
Sm: 0.1873 0.2172 0.2385
Sm: 0.2172 0.1873 0.7385
Sm: 0.2748 0.8363 0.9767
Sm: 0.4515 0.8404 0.4594
Sm: 0.5485 0.1596 0.5406
Sm: 0.7252 0.1637 0.0233
Sm: 0.7828 0.8127 0.2615
Sm: 0.8127 0.7828 0.7615
Sm: 0.8363 0.2748 0.4767
Sm: 0.8404 0.4515 0.9594
In: 0.3825 0.4480 0.7933
In: 0.4480 0.3825 0.2933
In: 0.5520 0.6175 0.7067
In: 0.6175 0.5520 0.2067
Sn: 0.0000 0.5000 0.5000
Sn: 0.0856 0.9144 0.2500
Sn: 0.5000 0.0000 0.0000
Sn: 0.9144 0.0856 0.7500

---

Record 9
The following is a calculated powder XRD pattern of AgAu. It was derived from a crystal structure in Alexandria, relaxed with PBE, using copper Kα.
Kinematic intensities with the Lorentz-polarization factor, no thermal factor.

Top 10 peaks for 2θ from 5° to 70°, sorted by position:
two_theta, I/Imax
9.2, 20
27.9, 3
35.2, 24
36.5, 7
37.4, 27
40.0, 100
45.5, 3
52.3, 15
63.1, 17
69.3, 19

Cell lengths 2.9446, 2.9446, 9.6059 Å; angles 90.00, 90.00, 120.00 degrees
Fractional positions:
Ag: 0.3333 0.6667 0.3767
Ag: 0.6667 0.3333 0.6233
Au: 0.3333 0.6667 0.8725
Au: 0.6667 0.3333 0.1275

---

Record 10
The following is a calculated powder XRD pattern of Ba3Li2IrO6. It was derived from a crystal structure in Alexandria, relaxed with PBE, using copper Kα.
Kinematic intensities with the Lorentz-polarization factor, no thermal factor.

Top 10 peaks for 2θ from 5° to 70°, sorted by position:
two_theta, I/Imax
13.2, 55
17.3, 51
21.9, 29
30.3, 100
31.9, 86
33.2, 22
37.7, 22
40.7, 23
44.6, 50
54.9, 39

Cell lengths 5.9030, 5.9030, 6.6984 Å; angles 90.00, 90.00, 120.00 degrees
Fractional positions:
Ba: 0.0000 0.0000 0.0000
Ba: 0.3333 0.6667 0.6401
Ba: 0.6667 0.3333 0.3599
Li: 0.3333 0.6667 0.2305
Li: 0.6667 0.3333 0.7695
Ir: 0.0000 0.0000 0.5000
O: 0.1626 0.3252 0.3189
O: 0.1626 0.8374 0.3189
O: 0.3252 0.1626 0.6811
O: 0.6748 0.8374 0.3189
O: 0.8374 0.1626 0.6811
O: 0.8374 0.6748 0.6811

---

Record 11
The following is a calculated powder XRD pattern of Ce8PuAg2. It was derived from a crystal structure in Alexandria, relaxed with PBE, using copper Kα.
Kinematic intensities with the Lorentz-polarization factor, no thermal factor.

Top 10 peaks for 2θ from 5° to 70°, sorted by position:
two_theta, I/Imax
13.3, 32
15.3, 13
30.3, 18
31.6, 65
33.8, 36
34.8, 100
37.1, 25
38.7, 16
50.3, 17
58.4, 20

Cell lengths 7.2725, 7.2725, 6.1035 Å; angles 103.11, 103.11, 105.42 degrees
Fractional positions:
Ce: 0.0000 0.0000 0.0000
Ce: 0.0735 0.5022 0.0311
Ce: 0.1260 0.3736 0.5662
Ce: 0.3736 0.1260 0.5662
Ce: 0.4416 0.6846 0.5862
Ce: 0.5022 0.0735 0.0311
Ce: 0.5803 0.5803 0.0784
Ce: 0.6846 0.4416 0.5862
Pu: 0.3043 0.3043 0.1305
Ag: 0.0118 0.7637 0.4911
Ag: 0.7637 0.0118 0.4911

---

Record 12
The following is a calculated powder XRD pattern of Tm3Mg5In2. It was derived from a crystal structure in Alexandria, relaxed with PBE, using copper Kα.
Kinematic intensities with the Lorentz-polarization factor, no thermal factor.

Top 10 peaks for 2θ from 5° to 70°, sorted by position:
two_theta, I/Imax
9.6, 99
28.2, 46
29.0, 20
29.2, 27
31.9, 100
35.8, 20
38.6, 38
41.5, 42
58.0, 21
69.7, 20

Cell lengths 9.7465, 9.7465, 9.7465 Å; angles 101.82, 89.69, 143.19 degrees
Fractional positions:
Tm: 0.2264 0.1283 0.3547
Tm: 0.2500 0.2500 0.0000
Tm: 0.2736 0.6283 0.9019
Tm: 0.7264 0.3717 0.0981
Tm: 0.7500 0.7500 0.0000
Tm: 0.7736 0.8717 0.6453
Mg: 0.1524 0.3909 0.5433
Mg: 0.2500 0.5071 0.2571
Mg: 0.2500 0.7500 0.5000
Mg: 0.2500 0.9929 0.7429
Mg: 0.3476 0.8909 0.2386
Mg: 0.6524 0.1091 0.7614
Mg: 0.7500 0.0071 0.2571
Mg: 0.7500 0.2500 0.5000
Mg: 0.7500 0.4929 0.7429
Mg: 0.8476 0.6091 0.4567
In: 0.1513 0.8590 0.0104
In: 0.3487 0.3590 0.7077
In: 0.6513 0.6410 0.2923
In: 0.8487 0.1410 0.9896